# NdZnIn
Theoretical powder X-ray diffraction pattern, Cu Ka. Input: a crystal structure in the Materials Project, relaxed with PBE.
Lines closer than 0.1° are merged.

Structural model:
```
data_NdZnIn
_chemical_formula_sum 'Nd2 Zn2 In2'
_cell_length_a 4.7569
_cell_length_b 4.7569
_cell_length_c 7.6155
_cell_angle_alpha 90.00
_cell_angle_beta 90.00
_cell_angle_gamma 120.00
_space_group_name_H-M_alt 'P 63/m m c'
_space_group_IT_number 194
_space_group_name_Hall '-P 6c 2c'
loop_
_atom_site_label
_atom_site_type_symbol
_atom_site_fract_x
_atom_site_fract_y
_atom_site_fract_z
_atom_site_occupancy
Nd1 Nd 0.0000 0.0000 0.0000 1
Zn1 Zn 0.3333 0.6667 0.2500 1
In1 In 0.3333 0.6667 0.7500 1
```

Peak list (10 most intense, 5° ≤ 2θ ≤ 70°, low angle first)
two_theta	d [Å]	I/Imax
21.57	4.120	6
23.36	3.808	1
24.57	3.623	5
32.01	2.796	100
37.83	2.378	62
47.77	1.904	10
50.37	1.812	28
62.49	1.486	27
64.68	1.441	26
68.31	1.373	10

=====

# CaSn2Rh
Theoretical powder X-ray diffraction pattern, Cu Ka. Input: a crystal structure in the Materials Project, relaxed with PBE.
Lines closer than 0.1° are merged.

Structural model:
```
data_CaSn2Rh
_chemical_formula_sum 'Ca4 Sn8 Rh4'
_cell_length_a 4.372
_cell_length_b 10.942
_cell_length_c 7.634
_cell_angle_alpha 90.00
_cell_angle_beta 90.00
_cell_angle_gamma 90.00
_space_group_name_H-M_alt 'C m c m'
_space_group_IT_number 63
_space_group_name_Hall '-C 2c 2'
loop_
_atom_site_label
_atom_site_type_symbol
_atom_site_fract_x
_atom_site_fract_y
_atom_site_fract_z
_atom_site_occupancy
Ca1 Ca 0.000 0.066 0.250 1
Sn1 Sn 0.000 0.355 0.047 1
Rh1 Rh 0.000 0.211 0.750 1
```

Peak list (10 most intense, 5° ≤ 2θ ≤ 70°, low angle first)
two_theta	d [Å]	I/Imax
16.20	5.471	58
19.97	4.447	34
31.95	2.801	39
32.19	2.781	100
34.10	2.629	53
39.92	2.258	93
40.57	2.224	41
41.30	2.186	55
41.90	2.156	76
63.19	1.472	45

=====

# TlHg3Sb2Br3
Theoretical powder X-ray diffraction pattern, Cu Ka. Input: a crystal structure in the Materials Project, relaxed with PBE.
Lines closer than 0.1° are merged.

Structural model:
```
data_TlHg3Sb2Br3
_chemical_formula_sum 'Tl4 Hg12 Sb8 Br12'
_cell_length_a 6.764
_cell_length_b 13.518
_cell_length_c 13.485
_cell_angle_alpha 90.00
_cell_angle_beta 90.00
_cell_angle_gamma 90.00
_space_group_name_H-M_alt 'P b c m'
_space_group_IT_number 57
_space_group_name_Hall '-P 2c 2b'
loop_
_atom_site_label
_atom_site_type_symbol
_atom_site_fract_x
_atom_site_fract_y
_atom_site_fract_z
_atom_site_occupancy
Tl1 Tl 0.002 0.242 0.250 1
Hg1 Hg 0.000 0.000 0.000 1
Hg2 Hg 0.464 0.513 0.750 1
Hg3 Hg 0.467 0.750 0.000 1
Sb1 Sb 0.372 0.560 0.556 1
Br1 Br 0.101 0.250 0.000 1
Br2 Br 0.103 0.009 0.750 1
Br3 Br 0.467 0.203 0.250 1
```

Peak list (10 most intense, 5° ≤ 2θ ≤ 70°, low angle first)
two_theta	d [Å]	I/Imax
22.80	3.900	46
26.39	3.377	100
27.20	3.278	12
37.67	2.388	66
44.45	2.038	41
44.55	2.034	15
46.57	1.950	20
59.66	1.550	18
61.34	1.511	11
61.47	1.509	11